No. 1
Starting from a structure optimized by DFT (GGA-PBE), the XRD peak list of Li3BiP2O8 was simulated for Cu Kα.
Kinematic intensities with the Lorentz-polarization factor, no thermal factor.

Main lines, low angle first (2θ from 10° to 90°):
d 6.719, rel. 100, (1 0 0); d 4.657, rel. 72, (0 1 1); d 4.080, rel. 51, (1 0 -2); d 3.737, rel. 97, (1 1 1); d 2.889, rel. 26, (2 0 -2); d 2.795, rel. 24, (2 1 -1); d 2.719, rel. 40, (0 1 3); d 2.164, rel. 29, (1 2 2)

Structural model:
```
data_Li3BiP2O8
_chemical_formula_sum 'Li6 Bi2 P4 O16'
_cell_length_a 6.757
_cell_length_b 5.348
_cell_length_c 9.525
_cell_angle_alpha 90.00
_cell_angle_beta 96.10
_cell_angle_gamma 90.00
_space_group_name_H-M_alt 'P 1 21/m 1'
_space_group_IT_number 11
loop_
_space_group_symop_operation_xyz
'x,y,z'
'-x,-y,-z'
'-x,y+1/2,-z'
'x,-y+1/2,z'
loop_
_atom_site_label
_atom_site_fract_x
_atom_site_fract_y
_atom_site_fract_z
Li1 0.030 0.250 0.229
Li2 0.196 0.250 0.953
Li3 0.239 0.750 0.463
Bi1 0.488 0.250 0.234
P1 0.231 0.250 0.557
P2 0.286 0.750 0.052
O1 0.027 0.250 0.610
O2 0.197 0.509 0.112
O3 0.223 0.750 0.887
O4 0.226 0.250 0.392
O5 0.350 0.008 0.606
O6 0.484 0.250 0.917
```

***

No. 2
Starting from a structure optimized by DFT (GGA-PBE), the XRD peak list of Li3BiP2O8 was simulated for Cu Kα.
Kinematic intensities with the Lorentz-polarization factor, no thermal factor.

Main lines, low angle first (2θ from 10° to 90°):
d 7.566, rel. 65, (0 0 1); d 4.270, rel. 40, (1 1 0); d 3.719, rel. 100, (2 -1 1); d 2.832, rel. 52, (2 -1 2); d 2.465, rel. 24, (3 0 0); d 2.344, rel. 34, (0 3 1); d 2.055, rel. 22, (2 2 1); d 1.484, rel. 19, (5 -4 2)

Structural model:
```
data_Li3BiP2O8
_chemical_formula_sum 'Li9 Bi3 P6 O24'
_cell_length_a 8.5403
_cell_length_b 8.5403
_cell_length_c 7.5664
_cell_angle_alpha 90.00
_cell_angle_beta 90.00
_cell_angle_gamma 120.00
_space_group_name_H-M_alt 'P -3'
_space_group_IT_number 147
loop_
_space_group_symop_operation_xyz
'x,y,z'
'-x,-y,-z'
'-y,x-y,z'
'y,-x+y,-z'
'-x+y,-x,z'
'x-y,x,-z'
loop_
_atom_site_label
_atom_site_fract_x
_atom_site_fract_y
_atom_site_fract_z
Li1 0.0000 0.0000 0.0000
Li2 0.0212 0.6756 0.8704
Li3 0.3333 0.6667 0.0162
Bi1 0.0000 0.0000 0.5000
Bi2 0.3333 0.6667 0.5508
P1 0.0259 0.6912 0.2513
O1 0.0849 0.2119 0.7759
O2 0.1051 0.5195 0.7620
O3 0.1144 0.7447 0.4371
O4 0.1698 0.7467 0.1049
```